Diffraction record for CoSiNi. The powder X-ray diffraction pattern is simulated, not measured: it uses the PBE geometry in the Materials Project and Cu Ka.

Structural model:
a b c (Å): 4.9986 3.6964 7.0606
angles (deg): 90.00 90.00 90.00
Fractional positions:
Co: 0.0375 0.2500 0.2102
Co: 0.4625 0.7500 0.7102
Co: 0.5375 0.2500 0.2898
Co: 0.9625 0.7500 0.7898
Si: 0.2075 0.2500 0.8906
Si: 0.2925 0.7500 0.3906
Si: 0.7075 0.2500 0.6094
Si: 0.7925 0.7500 0.1094
Ni: 0.1707 0.2500 0.5647
Ni: 0.3293 0.7500 0.0647
Ni: 0.6707 0.2500 0.9353
Ni: 0.8293 0.7500 0.4353

Top 8 peaks for 10° ≤ 2θ ≤ 90°, by angle:
two_theta, I_rel
32.69, 13.0
39.64, 19.3
43.72, 34.9
44.41, 21.1
45.68, 100.0
49.33, 39.7
53.48, 14.0
89.85, 13.1